# La16Ni8O33
Computed XRD peak list, λ = 1.5418 Å (Cu Kα). Input: a structure optimized by DFT (PBE+U).
Neutral-atom scattering factors, no anomalous dispersion.

Structural model:
```
57
Lattice="-3.880 3.880 12.700 3.880 -3.880 12.700 3.880 3.880 -12.700" Properties=species:S:1:pos:R:3 pbc="T T T"
La 1.922 3.804 -5.006
La 3.828 1.942 1.444
La 0.053 1.976 1.424
La 1.958 0.077 7.694
La 1.938 -0.052 11.256
La 0.008 1.887 4.945
La 3.957 1.922 5.006
La 1.942 3.932 -1.444
La -0.053 5.785 1.424
La -1.993 3.872 7.756
La 1.993 3.888 7.756
La 0.052 1.938 14.144
La -1.905 3.828 11.276
La -0.077 1.958 17.706
La -0.008 5.873 4.945
La 1.905 3.933 11.276
Ni 3.878 -1.956 9.546
Ni 5.836 -0.003 3.154
Ni 1.924 0.003 3.154
Ni 3.873 1.945 -3.198
Ni 0.007 1.936 9.502
Ni 1.936 -0.007 15.898
Ni 1.945 3.888 3.198
Ni 3.883 1.956 9.546
O 5.735 -0.183 0.909
O 3.698 1.939 -5.398
O 2.026 0.183 0.909
O 0.000 0.000 2.900
O 1.933 -1.918 9.416
O 3.880 0.000 3.267
O 1.937 1.943 -3.048
O 1.500 -0.106 5.327
O 4.058 1.946 -0.910
O 2.380 3.986 -7.374
O 3.697 -1.855 11.791
O 3.880 0.000 6.350
O 5.818 1.937 3.048
O 3.880 0.000 9.433
O 0.000 0.000 9.589
O 1.962 1.948 3.284
O 1.946 3.703 0.910
O 0.182 1.941 7.302
O 1.935 0.177 13.610
O 3.775 2.380 7.374
O 1.948 5.799 -3.284
O 0.000 3.880 3.109
O 0.000 0.000 15.812
O 1.943 1.938 9.652
O 1.941 -0.182 18.099
O 4.063 1.855 11.791
O -0.177 1.935 11.790
O 1.939 4.063 5.398
O -1.938 1.943 15.749
O 0.000 3.880 9.592
O 1.918 1.933 15.985
O 0.000 0.000 22.501
O 0.106 1.500 20.074
```

The 8 most intense peaks (2θ = 5–70°), low angle first:
Position (°2θ)	intensity
23.98	23
28.10	12
31.27	100
32.64	67
42.54	18
43.60	29
46.82	34
57.39	37



# La2Ni2O5
Computed XRD peak list, λ = 1.5418 Å (Cu Kα). Input: a structure optimized by DFT (PBE+U).
Neutral-atom scattering factors, no anomalous dispersion.

Structural model:
```
18
Lattice="-7.926 2.845 2.732 7.926 -2.845 2.732 7.926 2.845 -2.732" Properties=species:S:1:pos:R:3 pbc="T T T"
La 1.724 0.092 0.000
La 6.202 0.092 0.000
La 1.724 2.754 2.732
La 6.202 2.754 2.732
Ni 3.963 -0.334 2.942
Ni 0.000 0.000 2.704
Ni 7.926 0.000 2.704
Ni 3.963 3.179 0.210
O 11.889 0.626 -0.504
O 2.178 2.453 -0.136
O 5.748 2.453 -0.136
O -0.224 1.451 1.365
O 8.150 1.451 1.365
O 2.178 0.392 2.596
O 5.748 0.392 2.596
O -3.963 2.219 2.228
O 0.224 4.239 1.365
O -0.224 1.394 4.097
```

The 8 most intense peaks (2θ = 5–70°), low angle first:
Position (°2θ)	intensity
22.56	17
31.44	33
32.03	100
32.78	34
41.13	16
46.06	30
56.35	19
58.04	19



# La2Ni2O5
Computed XRD peak list, λ = 1.5418 Å (Cu Kα). Input: a structure optimized by DFT (PBE+U).
Neutral-atom scattering factors, no anomalous dispersion.

Structural model:
```
36
Lattice="7.525 0.000 0.000 0.000 7.898 0.000 -6.844 0.000 7.878" Properties=species:S:1:pos:R:3 pbc="T T T"
La -1.658 1.873 1.936
La -5.080 2.076 5.875
La -1.399 5.788 5.895
La 2.024 6.058 1.956
La -1.343 1.839 5.922
La 2.079 2.109 1.983
La 5.760 5.822 2.003
La 2.338 6.025 5.942
Ni 0.000 0.000 0.000
Ni -3.422 0.000 3.939
Ni 0.000 3.949 0.000
Ni -3.422 3.949 3.939
Ni 3.762 0.000 0.000
Ni 0.340 0.000 3.939
Ni 3.762 3.949 0.000
Ni 0.340 3.949 3.939
O -3.049 5.780 4.193
O 0.374 6.067 0.254
O -1.537 0.519 3.889
O -4.959 3.430 7.829
O -3.398 0.307 6.045
O 0.024 3.642 2.106
O 0.422 0.319 1.814
O -3.000 3.630 5.753
O -0.058 5.784 3.672
O -3.480 6.063 7.611
O 4.161 1.835 0.268
O 0.738 2.114 4.207
O 3.681 4.268 2.125
O 0.259 7.579 6.064
O 0.656 4.256 5.772
O 4.079 7.591 1.833
O 5.639 4.468 0.050
O 2.217 7.378 3.989
O 0.307 1.831 7.624
O 3.729 2.118 3.685
```

The 8 most intense peaks (2θ = 5–70°), low angle first:
Position (°2θ)	intensity
22.54	28
31.50	51
32.10	88
32.95	100
34.42	45
45.97	24
46.09	28
55.91	24



# La2NiO4
Computed XRD peak list, λ = 1.5418 Å (Cu Kα). Input: a structure optimized by DFT (PBE+U).
Neutral-atom scattering factors, no anomalous dispersion.

Structural model:
```
7
Lattice="-1.962 1.962 6.260 1.962 -1.962 6.260 1.962 1.962 -6.260" Properties=species:S:1:pos:R:3 pbc="T T T"
La 0.000 0.000 1.709
La 0.000 0.000 10.811
Ni 0.000 0.000 6.260
O 1.962 0.000 0.000
O 0.000 0.000 4.019
O 0.000 1.962 0.000
O 0.000 0.000 8.501
```

The 8 most intense peaks (2θ = 5–70°), low angle first:
Position (°2θ)	intensity
23.76	28
31.29	100
32.26	77
42.84	25
43.59	32
46.27	39
56.92	38
64.88	13



# La4NiO8
Computed XRD peak list, λ = 1.5418 Å (Cu Kα). Input: a structure optimized by DFT (PBE+U).
Neutral-atom scattering factors, no anomalous dispersion.

Structural model:
```
13
Lattice="2.665 -6.368 0.000 2.665 6.368 0.000 0.000 0.000 5.334" Properties=species:S:1:pos:R:3 pbc="T T T"
La 2.665 4.679 0.000
La 2.665 1.705 2.667
La 2.665 -1.705 2.667
La 2.665 -4.679 0.000
Ni 2.665 0.000 0.000
O 2.665 3.972 2.667
O 1.337 0.000 1.269
O 1.337 0.000 4.065
O 2.665 2.022 0.000
O 2.665 -2.022 0.000
O 3.993 0.000 1.269
O 3.993 0.000 4.065
O 2.665 -3.972 2.667
```

The 8 most intense peaks (2θ = 5–70°), low angle first:
Position (°2θ)	intensity
24.63	70
28.02	31
31.74	100
33.62	82
42.85	32
44.32	62
48.28	42
58.94	36



# La2NiO4
Computed XRD peak list, λ = 1.5418 Å (Cu Kα). Input: a structure optimized by DFT (PBE+U).
Neutral-atom scattering factors, no anomalous dispersion.

Structural model:
```
14
Lattice="1.983 -6.794 0.000 1.983 6.794 0.000 0.000 0.000 7.343" Properties=species:S:1:pos:R:3 pbc="T T T"
La 1.983 6.073 3.672
La 1.983 2.940 5.165
La 1.983 -2.940 1.493
La 1.983 -6.073 0.000
Ni 1.983 1.488 2.280
Ni 1.983 -1.488 5.952
O 1.983 5.403 6.252
O 1.983 3.617 2.676
O 1.983 1.991 0.405
O 1.983 0.587 5.229
O 1.983 -0.587 1.557
O 1.983 -1.991 4.077
O 1.983 -3.617 6.348
O 1.983 -5.403 2.580
```

The 8 most intense peaks (2θ = 5–70°), low angle first:
Position (°2θ)	intensity
26.37	81
27.62	89
28.96	63
29.95	60
32.39	67
33.92	100
42.15	58
45.75	54